The following is a theoretical powder diffraction line list of Mg16Al12I. It was derived from a crystal structure in Alexandria, relaxed with GGA-PBE, using CuKα.

Principal peaks in the range 2θ = 5–70°, most intense first:
2θ (°), intensity
35.82, 100
11.77, 32
64.37, 25
39.75, 23
31.47, 21
61.67, 17
41.60, 16
20.46, 14
43.38, 10
26.50, 9
46.79, 9
69.61, 8

Cell and atoms:
Lattice parameters (Å, degrees): 9.2103 9.2103 9.2103 109.47 109.47 109.47
Positions (direct):
Mg 0.0000 0.0000 0.6648
Mg 0.0000 0.4052 0.6868
Mg 0.0000 0.6648 0.0000
Mg 0.0000 0.6868 0.4052
Mg 0.2816 0.5948 0.5948
Mg 0.3132 0.3132 0.7184
Mg 0.3132 0.7184 0.3132
Mg 0.3352 0.3352 0.3352
Mg 0.4052 0.0000 0.6868
Mg 0.4052 0.6868 0.0000
Mg 0.5948 0.2816 0.5948
Mg 0.5948 0.5948 0.2816
Mg 0.6648 0.0000 0.0000
Mg 0.6868 0.0000 0.4052
Mg 0.6868 0.4052 0.0000
Mg 0.7184 0.3132 0.3132
Al 0.0000 0.1884 0.3774
Al 0.0000 0.3774 0.1884
Al 0.1884 0.0000 0.3774
Al 0.1884 0.3774 0.0000
Al 0.1889 0.8116 0.8116
Al 0.3774 0.0000 0.1884
Al 0.3774 0.1884 0.0000
Al 0.6226 0.6226 0.8111
Al 0.6226 0.8111 0.6226
Al 0.8111 0.6226 0.6226
Al 0.8116 0.1889 0.8116
Al 0.8116 0.8116 0.1889
I 0.0000 0.0000 0.0000

---

The following is a theoretical powder diffraction line list of VNiSb. It was derived from a crystal structure in Alexandria, relaxed with GGA-PBE, using CuKα.

Principal peaks in the range 2θ = 5–70°, most intense first:
2θ (°), intensity
43.68, 100
36.30, 92
48.22, 60
33.58, 57
41.17, 34
65.23, 33
27.24, 20
27.11, 20
56.22, 16
54.13, 16
61.77, 11
61.51, 6

Cell and atoms:
Lattice parameters (Å, degrees): 3.7746 3.7746 6.5777 90.00 90.00 90.00
Positions (direct):
V 0.2500 0.7500 0.0000
V 0.7500 0.2500 0.0000
Ni 0.2500 0.2500 0.2765
Ni 0.7500 0.7500 0.7235
Sb 0.2500 0.2500 0.6776
Sb 0.7500 0.7500 0.3224

---

The following is a theoretical powder diffraction line list of K2CdIn12Pt3. It was derived from a crystal structure in Alexandria, relaxed with GGA-PBE, using CuKα.

Principal peaks in the range 2θ = 5–70°, most intense first:
2θ (°), intensity
11.01, 100
35.22, 58
20.64, 52
38.31, 31
27.55, 28
45.29, 24
33.86, 24
41.17, 23
13.68, 16
28.28, 16
68.20, 15
33.45, 15

Cell and atoms:
Lattice parameters (Å, degrees): 8.7496 8.7496 8.7496 71.25 71.25 71.25
Positions (direct):
K 0.0932 0.0932 0.0932
K 0.9068 0.9068 0.9068
Cd 0.5000 0.5000 0.5000
In 0.1278 0.6442 0.6442
In 0.2399 0.2399 0.5941
In 0.2399 0.5941 0.2399
In 0.3558 0.3558 0.8722
In 0.3558 0.8722 0.3558
In 0.4059 0.7601 0.7601
In 0.5941 0.2399 0.2399
In 0.6442 0.1278 0.6442
In 0.6442 0.6442 0.1278
In 0.7601 0.4059 0.7601
In 0.7601 0.7601 0.4059
In 0.8722 0.3558 0.3558
Pt 0.0000 0.5000 0.5000
Pt 0.5000 0.0000 0.5000
Pt 0.5000 0.5000 0.0000

---

The following is a theoretical powder diffraction line list of La2Tb6Er. It was derived from a crystal structure in Alexandria, relaxed with GGA-PBE, using CuKα.

Principal peaks in the range 2θ = 5–70°, most intense first:
2θ (°), intensity
30.42, 100
35.16, 89
30.99, 47
27.47, 42
41.88, 27
61.81, 24
62.83, 22
57.86, 21
52.03, 20
54.77, 19
63.15, 12
53.53, 10

Cell and atoms:
Lattice parameters (Å, degrees): 10.2022 10.2022 10.2022 160.68 119.76 63.90
Positions (direct):
La 0.1681 0.1681 0.0000
La 0.8319 0.8319 0.0000
Tb 0.1475 0.3343 0.8132
Tb 0.1957 0.0000 0.1957
Tb 0.4790 0.6657 0.8132
Tb 0.5210 0.3343 0.1868
Tb 0.8043 0.0000 0.8043
Tb 0.8525 0.6657 0.1868
Er 0.5000 0.5000 0.0000